Simulated XRD peak list
Compound: FeHgHF6
Radiation: copper Kα
Structure: a structure optimized by DFT (GGA+U)

Main lines, by angle (2θ from 10° to 90°):
18.4 deg, rel. 75, hkl 0 0 1; 20.0 deg, rel. 82, hkl 1 0 0; 21.3 deg, rel. 69, hkl 1 0 -1; 24.9 deg, rel. 89, hkl 0 1 -1; 25.8 deg, rel. 100, hkl 0 1 1; 26.3 deg, rel. 90, hkl 1 -1 0; 26.8 deg, rel. 67, hkl 1 1 0; 27.5 deg, rel. 85, hkl 1 1 -1; 27.8 deg, rel. 55, hkl -1 1 1; 37.2 deg, rel. 62, hkl 1 1 1

a = 4.8172 Å, b = 5.1229 Å, c = 5.2337 Å
α = 91.57°, β = 112.54°, γ = 90.42°
Sites, in units of the cell vectors:
Fe 0.0000 0.0000 0.0000
Hg 0.6695 0.5330 0.3614
H 0.4594 0.2376 0.8153
F 0.0078 0.8081 0.6877
F 0.2908 0.8078 0.2865
F 0.2981 0.2577 0.9420
F 0.6395 0.2304 0.7286
F 0.6786 0.7847 0.9989
F 0.9839 0.2517 0.2819